(1)
Starting from a crystal structure in Alexandria, relaxed with PBE, the X-ray powder pattern of Ce2S3 was calculated for Cu Kα (λ = 1.5418 Å).

Crystal structure
a = 7.468 Å, b = 4.029 Å, c = 15.415 Å
α = 90.00°, β = 90.00°, γ = 90.00°
Space group Pnma (No. 62)
Symmetry-distinct sites (fractional):
Ce (0.131, 0.250, 0.208) (multiplicity 4)
Ce (0.240, 0.750, 0.458) (multiplicity 4)
S (0.010, 0.250, 0.393) (multiplicity 4)
S (0.128, 0.750, 0.069) (multiplicity 4)
S (0.152, 0.250, 0.780) (multiplicity 4)

The 10 most intense peaks (15 to 90 degrees two-theta), most intense first:
- 2θ 25.8, I = 100, hkl 1 1 1
- 2θ 34.8, I = 77, hkl 2 1 2
- 2θ 26.0, I = 68, hkl 1 0 4
- 2θ 28.1, I = 57, hkl 0 1 3
- 2θ 38.7, I = 49, hkl 1 1 5
- 2θ 24.5, I = 43, hkl 2 0 1
- 2θ 45.0, I = 38, hkl 0 2 0
- 2θ 37.2, I = 31, hkl 2 1 3
- 2θ 46.4, I = 28, hkl 3 1 3
- 2θ 51.1, I = 26, hkl 3 0 6

=====

(2)
Starting from a crystal structure in Alexandria, relaxed with PBE, the X-ray powder pattern of TmBe9Ru2 was calculated for Cu Kα (λ = 1.5418 Å).

Crystal structure
a = 4.4520 Å, b = 4.4520 Å, c = 14.1781 Å
α = 90.00°, β = 90.00°, γ = 120.00°
Space group P6_3/mmc (No. 194)
Symmetry-distinct sites (fractional):
Tm (0.3333, 0.6667, 0.2500) (multiplicity 2)
Be (0.0000, 0.0000, 0.0000) (multiplicity 2)
Be (0.0000, 0.0000, 0.2500) (multiplicity 2)
Be (0.1701, 0.3401, 0.6175) (multiplicity 12)
Be (0.3333, 0.6667, 0.7500) (multiplicity 2)
Ru (0.3333, 0.6667, 0.0352) (multiplicity 4)

The 10 most intense peaks (15 to 90 degrees two-theta), most intense first:
- 2θ 23.9, I = 100, hkl 1 0 1
- 2θ 39.4, I = 87, hkl 1 0 5
- 2θ 40.5, I = 63, hkl 1 1 0
- 2θ 48.3, I = 56, hkl 1 1 4
- 2θ 23.1, I = 56, hkl 1 0 0
- 2θ 25.1, I = 40, hkl 0 0 4
- 2θ 34.4, I = 29, hkl 1 0 4
- 2θ 73.0, I = 28, hkl 2 1 5
- 2θ 63.8, I = 27, hkl 1 0 9
- 2θ 57.8, I = 25, hkl 2 0 5

=====

(3)
Starting from a crystal structure in Alexandria, relaxed with PBE, the X-ray powder pattern of La8SmY3 was calculated for Cu Kα (λ = 1.5418 Å).

Crystal structure
a = 6.870 Å, b = 11.268 Å, c = 11.725 Å
α = 90.00°, β = 90.00°, γ = 90.00°
Space group Immm (No. 71)
Symmetry-distinct sites (fractional):
La (0.000, 0.164, 0.249) (multiplicity 8)
La (0.221, 0.276, 0.000) (multiplicity 8)
Sm (0.000, 0.000, 0.500) (multiplicity 2)
Y (0.000, 0.000, 0.000) (multiplicity 2)
Y (0.000, 0.500, 0.239) (multiplicity 4)

The 10 most intense peaks (15 to 90 degrees two-theta), most intense first:
- 2θ 31.1, I = 100, hkl 1 3 2
- 2θ 30.5, I = 81, hkl 0 0 4
- 2θ 34.2, I = 57, hkl 2 2 2
- 2θ 30.2, I = 53, hkl 2 0 2
- 2θ 15.1, I = 30, hkl 1 1 0
- 2θ 35.3, I = 22, hkl 0 4 2
- 2θ 56.6, I = 21, hkl 2 2 6
- 2θ 54.6, I = 20, hkl 1 3 6
- 2θ 49.1, I = 19, hkl 3 3 2
- 2θ 64.9, I = 18, hkl 2 6 4

=====

(4)
Starting from a crystal structure in Alexandria, relaxed with PBE, the X-ray powder pattern of Pm2YTe2O2 was calculated for Cu Kα (λ = 1.5418 Å).

Crystal structure
a = 4.383 Å, b = 4.383 Å, c = 16.654 Å
α = 90.00°, β = 90.00°, γ = 90.00°
Space group I4/mmm (No. 139)
Symmetry-distinct sites (fractional):
Pm (0.000, 0.000, 0.109) (multiplicity 4)
Y (0.000, 0.000, 0.500) (multiplicity 2)
Te (0.000, 0.000, 0.317) (multiplicity 4)
O (0.000, 0.500, 0.000) (multiplicity 4)

The 10 most intense peaks (15 to 90 degrees two-theta), most intense first:
- 2θ 33.8, I = 100, hkl 1 0 5
- 2θ 28.8, I = 79, hkl 1 1 0
- 2θ 54.3, I = 51, hkl 2 1 5
- 2θ 41.2, I = 37, hkl 2 0 0
- 2θ 84.9, I = 14, hkl 3 2 5
- 2θ 67.6, I = 14, hkl 3 1 0
- 2θ 36.1, I = 14, hkl 1 1 4
- 2θ 59.7, I = 12, hkl 2 2 0
- 2θ 70.4, I = 12, hkl 3 0 5
- 2θ 53.8, I = 10, hkl 1 0 9

=====

(5)
Starting from a crystal structure in Alexandria, relaxed with PBE, the X-ray powder pattern of Tb2Pm3Sc3 was calculated for Cu Kα (λ = 1.5418 Å).

Crystal structure
a = 4.831 Å, b = 4.973 Å, c = 19.878 Å
α = 90.00°, β = 90.00°, γ = 90.00°
Space group Immm (No. 71)
Symmetry-distinct sites (fractional):
Tb (0.000, 0.000, 0.248) (multiplicity 4)
Pm (0.000, 0.000, 0.000) (multiplicity 2)
Pm (0.000, 0.500, 0.122) (multiplicity 4)
Sc (0.000, 0.000, 0.500) (multiplicity 2)
Sc (0.000, 0.500, 0.376) (multiplicity 4)

The 10 most intense peaks (15 to 90 degrees two-theta), most intense first:
- 2θ 31.5, I = 100, hkl 1 1 4
- 2θ 36.1, I = 34, hkl 0 2 0
- 2θ 62.1, I = 28, hkl 1 3 4
- 2θ 52.9, I = 23, hkl 2 2 0
- 2θ 37.2, I = 16, hkl 2 0 0
- 2θ 18.9, I = 14, hkl 1 0 1
- 2θ 63.6, I = 13, hkl 3 1 4
- 2θ 52.0, I = 12, hkl 0 2 8
- 2θ 65.7, I = 12, hkl 2 2 8
- 2θ 86.5, I = 12, hkl 3 3 4

=====

(6)
Starting from a crystal structure in Alexandria, relaxed with PBE, the X-ray powder pattern of ZnCo3 was calculated for Cu Kα (λ = 1.5418 Å).

Crystal structure
a = 8.459 Å, b = 2.573 Å, c = 4.342 Å
α = 90.00°, β = 102.04°, γ = 90.00°
Space group C2/m (No. 12)
Symmetry-distinct sites (fractional):
Zn (0.000, 0.000, 0.000) (multiplicity 2)
Co (0.000, 0.500, 0.500) (multiplicity 2)
Co (0.243, 0.000, 0.738) (multiplicity 4)

The 10 most intense peaks (15 to 90 degrees two-theta), most intense first:
- 2θ 43.7, I = 100, hkl 2 0 -2
- 2θ 50.2, I = 43, hkl 3 1 -1
- 2θ 43.8, I = 33, hkl 4 0 0
- 2θ 89.7, I = 22, hkl 5 1 -3
- 2θ 52.4, I = 18, hkl 2 0 2
- 2θ 73.7, I = 13, hkl 0 2 0
- 2θ 75.4, I = 12, hkl 1 1 -3
- 2θ 75.5, I = 11, hkl 5 1 1
- 2θ 89.9, I = 7, hkl 7 1 -1
- 2θ 33.2, I = 1, hkl 2 0 1

=====

(7)
Starting from a crystal structure in Alexandria, relaxed with PBE, the X-ray powder pattern of Eu2AlNO3 was calculated for Cu Kα (λ = 1.5418 Å).

Crystal structure
a = 3.725 Å, b = 3.725 Å, c = 12.441 Å
α = 90.00°, β = 90.00°, γ = 90.00°
Space group I4mm (No. 107)
Symmetry-distinct sites (fractional):
Eu (0.000, 0.000, 0.000) (multiplicity 2)
Eu (0.000, 0.000, 0.288) (multiplicity 2)
Al (0.000, 0.000, 0.646) (multiplicity 2)
N (0.000, 0.000, 0.477) (multiplicity 2)
O (0.000, 0.000, 0.809) (multiplicity 2)
O (0.000, 0.500, 0.148) (multiplicity 4)

The 10 most intense peaks (15 to 90 degrees two-theta), most intense first:
- 2θ 32.3, I = 100, hkl 1 0 3
- 2θ 34.0, I = 63, hkl 1 1 0
- 2θ 25.0, I = 53, hkl 1 0 1
- 2θ 45.1, I = 44, hkl 1 1 4
- 2θ 59.8, I = 36, hkl 2 1 3
- 2θ 48.9, I = 31, hkl 2 0 0
- 2θ 28.7, I = 23, hkl 0 0 4
- 2θ 57.5, I = 18, hkl 1 0 7
- 2θ 43.7, I = 17, hkl 0 0 6
- 2θ 78.7, I = 15, hkl 2 1 7

=====

(8)
Starting from a crystal structure in Alexandria, relaxed with PBE, the X-ray powder pattern of K2Mg2Te3 was calculated for Cu Kα (λ = 1.5418 Å).

Crystal structure
a = 17.980 Å, b = 16.168 Å, c = 7.893 Å
α = 90.00°, β = 115.75°, γ = 90.00°
Space group C2/c (No. 15)
Symmetry-distinct sites (fractional):
K (0.000, 0.064, 0.250) (multiplicity 4)
K (0.000, 0.215, 0.750) (multiplicity 4)
K (0.104, 0.412, 0.598) (multiplicity 8)
Mg (0.192, 0.234, 0.262) (multiplicity 8)
Mg (0.222, 0.077, 0.798) (multiplicity 8)
Te (0.112, 0.377, 0.067) (multiplicity 8)
Te (0.142, 0.209, 0.554) (multiplicity 8)
Te (0.163, 0.075, 0.082) (multiplicity 8)

The 10 most intense peaks (15 to 90 degrees two-theta), most intense first:
- 2θ 22.8, I = 100, hkl 1 3 1
- 2θ 29.8, I = 56, hkl 2 4 1
- 2θ 22.0, I = 47, hkl 4 0 0
- 2θ 25.2, I = 44, hkl 4 0 -2
- 2θ 25.4, I = 36, hkl 2 4 -1
- 2θ 28.1, I = 35, hkl 5 1 0
- 2θ 22.5, I = 34, hkl 2 0 -2
- 2θ 38.1, I = 34, hkl 3 3 -3
- 2θ 37.4, I = 26, hkl 6 4 -1
- 2θ 36.4, I = 24, hkl 7 1 -2

=====

(9)
Starting from a crystal structure in Alexandria, relaxed with PBE, the X-ray powder pattern of AlTl2BiSe4 was calculated for Cu Kα (λ = 1.5418 Å).

Crystal structure
a = 8.344 Å, b = 9.848 Å, c = 6.503 Å
α = 90.00°, β = 90.00°, γ = 90.00°
Space group Pmn2_1 (No. 31)
Symmetry-distinct sites (fractional):
Al (0.000, 0.172, 0.000) (multiplicity 2)
Tl (0.210, 0.646, 0.068) (multiplicity 4)
Bi (0.000, 0.898, 0.522) (multiplicity 2)
Se (0.000, 0.180, 0.628) (multiplicity 2)
Se (0.000, 0.933, 0.094) (multiplicity 2)
Se (0.243, 0.293, 0.091) (multiplicity 4)

The 10 most intense peaks (15 to 90 degrees two-theta), most intense first:
- 2θ 23.2, I = 100, hkl 2 1 0
- 2θ 27.4, I = 87, hkl 0 0 2
- 2θ 22.7, I = 60, hkl 0 2 1
- 2θ 36.2, I = 54, hkl 2 1 2
- 2θ 34.8, I = 47, hkl 2 3 0
- 2θ 44.9, I = 38, hkl 2 3 2
- 2θ 19.5, I = 30, hkl 1 1 1
- 2θ 37.5, I = 27, hkl 2 3 1
- 2θ 35.1, I = 26, hkl 3 0 1
- 2θ 29.2, I = 22, hkl 1 3 0

=====

(10)
Starting from a crystal structure in Alexandria, relaxed with PBE, the X-ray powder pattern of PmSm3Y6Ho2 was calculated for Cu Kα (λ = 1.5418 Å).

Crystal structure
a = 6.213 Å, b = 10.752 Å, c = 11.851 Å
α = 90.00°, β = 100.01°, γ = 90.00°
Space group C2/m (No. 12)
Symmetry-distinct sites (fractional):
Pm (0.000, 0.000, 0.000) (multiplicity 2)
Sm (0.000, 0.167, 0.500) (multiplicity 4)
Sm (0.000, 0.500, 0.500) (multiplicity 2)
Y (0.249, 0.500, 0.249) (multiplicity 4)
Y (0.250, 0.167, 0.249) (multiplicity 8)
Ho (0.000, 0.333, 0.000) (multiplicity 4)

The 10 most intense peaks (15 to 90 degrees two-theta), most intense first:
- 2θ 30.5, I = 100, hkl 1 3 1
- 2θ 35.4, I = 67, hkl 2 0 2
- 2θ 30.6, I = 33, hkl 0 0 4
- 2θ 50.9, I = 24, hkl 0 6 0
- 2θ 51.1, I = 23, hkl 1 3 5
- 2θ 60.6, I = 23, hkl 4 0 0
- 2θ 60.7, I = 23, hkl 2 0 6
- 2θ 63.6, I = 12, hkl 2 6 2
- 2θ 83.0, I = 11, hkl 4 6 0
- 2θ 15.2, I = 11, hkl 0 0 2